1.
Structure and theoretical powder X-ray diffraction pattern of Hf8Au2C3N3 (the GGA-PBE geometry in OQMD; Cu Kα).

Structure:
```
data_Hf8Au2C3N3
_chemical_formula_sum 'Hf8 Au2 C3 N3'
_symmetry_space_group_name_H-M 'P -3 m 1'
_symmetry_Int_Tables_number 164
_symmetry_space_group_name_Hall '-P 3 2"'
_cell_length_a 3.2576
_cell_length_b 3.2576
_cell_length_c 24.6035
_cell_angle_alpha 90.00
_cell_angle_beta 90.00
_cell_angle_gamma 120.00
loop_
_atom_site_label
_atom_site_type_symbol
_atom_site_fract_x
_atom_site_fract_y
_atom_site_fract_z
_atom_site_occupancy
Hf1 Hf 0.0000 0.0000 0.1564 1
Hf2 Hf 0.0000 0.0000 0.3397 1
Hf3 Hf 0.3333 0.6667 0.5532 1
Hf4 Hf 0.3333 0.6667 0.9459 1
Au1 Au 0.3333 0.6667 0.7526 1
C1 C 0.0000 0.0000 0.5000 1
C2 C 0.3333 0.6667 0.3885 1
N1 N 0.0000 0.0000 0.0000 1
N2 N 0.3333 0.6667 0.1050 1
```

Main lines, by angle (2θ = 10–80°):
- d = 2.803 Å, rel. 40, hkl 1 0 1
- d = 2.750 Å, rel. 17, hkl 0 1 2
- d = 2.564 Å, rel. 58, hkl 1 0 4
- d = 2.460 Å, rel. 46, hkl 0 0 10
- d = 2.447 Å, rel. 95, hkl 0 1 5
- d = 2.324 Å, rel. 100, hkl 1 0 6
- d = 1.753 Å, rel. 19, hkl 1 0 11
- d = 1.629 Å, rel. 52, hkl 1 1 0
- d = 1.418 Å, rel. 15, hkl 0 1 15
- d = 1.358 Å, rel. 44, hkl 1 1 10
- d = 1.350 Å, rel. 19, hkl 1 0 16
- d = 1.334 Å, rel. 17, hkl 0 2 6

2.
Structure and theoretical powder X-ray diffraction pattern of Nb4CoPN2 (the GGA-PBE geometry in OQMD; Cu Kα).

Structure:
```
data_Nb4CoPN2
_chemical_formula_sum 'Nb4 Co1 P1 N2'
_symmetry_space_group_name_H-M 'P -6 m 2'
_symmetry_Int_Tables_number 187
_symmetry_space_group_name_Hall 'P -6 2'
_cell_length_a 3.1984
_cell_length_b 3.1984
_cell_length_c 12.0582
_cell_angle_alpha 90.00
_cell_angle_beta 90.00
_cell_angle_gamma 120.00
loop_
_atom_site_label
_atom_site_type_symbol
_atom_site_fract_x
_atom_site_fract_y
_atom_site_fract_z
_atom_site_occupancy
Nb1 Nb 0.0000 0.0000 0.1458 1
Nb2 Nb 0.3333 0.6667 0.3462 1
Co1 Co 0.0000 0.0000 0.5000 1
P1 P 0.3333 0.6667 0.0000 1
N1 N 0.6667 0.3333 0.2508 1
```

Main lines, by angle (2θ = 10–80°):
- d = 3.015 Å, rel. 8, hkl 0 0 4
- d = 2.770 Å, rel. 25, hkl 1 0 0
- d = 2.700 Å, rel. 14, hkl 1 0 1
- d = 2.281 Å, rel. 100, hkl 1 0 3
- d = 2.040 Å, rel. 8, hkl 1 0 4
- d = 2.010 Å, rel. 10, hkl 0 0 6
- d = 1.627 Å, rel. 11, hkl 1 0 6
- d = 1.599 Å, rel. 25, hkl 1 1 0
- d = 1.463 Å, rel. 8, hkl 1 0 7
- d = 1.309 Å, rel. 16, hkl 2 0 3
- d = 1.251 Å, rel. 13, hkl 1 1 6
- d = 1.206 Å, rel. 7, hkl 0 0 10